Record 1
The following is a theoretical powder diffractogram of Nb. It was derived from a PBE-relaxed structure, using Cu Kα (weighted mean of Kα1 and Kα2).
Neutral-atom scattering factors, no anomalous dispersion.

The 10 most intense peaks (2θ from 5° to 70°), by angle:
h k l, Position (°2θ), I (rel.)
1 1 1, 35.83, 36
0 2 2, 36.13, 64
0 0 6, 37.04, 70
1 1 2, 37.44, 30
1 1 3, 40.01, 100
0 2 4, 42.23, 47
1 1 4, 43.39, 20
0 2 8, 61.89, 18
1 3 3, 64.78, 23
1 1 9, 68.76, 19

Structural model:
```
data_Nb
_cell_length_a 2.902
_cell_length_b 5.290
_cell_length_c 14.561
_cell_angle_alpha 90.00
_cell_angle_beta 90.00
_cell_angle_gamma 90.00
_symmetry_space_group_name_H-M 'C c c m'
_symmetry_Int_Tables_number 66
_symmetry_space_group_name_Hall '-C 2 2c'
loop_
_atom_site_label
_atom_site_type_symbol
_atom_site_fract_x
_atom_site_fract_y
_atom_site_fract_z
Nb1 Nb 0.000 0.000 0.000
Nb2 Nb 0.250 0.250 0.165
```

=====

Record 2
The following is a theoretical powder diffractogram of Nb. It was derived from a PBE-relaxed structure, using Cu Kα (weighted mean of Kα1 and Kα2).
Neutral-atom scattering factors, no anomalous dispersion.

The 9 most intense peaks (2θ from 5° to 70°), by angle:
h k l, Position (°2θ), I (rel.)
0 0 4, 36.41, 55
1 1 1, 37.60, 100
0 2 2, 37.85, 98
1 1 3, 46.00, 56
1 1 5, 60.03, 25
1 3 1, 62.02, 22
0 2 6, 66.47, 18
1 3 3, 68.19, 17
0 4 0, 69.29, 8

Structural model:
```
data_Nb
_cell_length_a 2.768
_cell_length_b 5.425
_cell_length_c 9.871
_cell_angle_alpha 90.00
_cell_angle_beta 90.00
_cell_angle_gamma 90.00
_symmetry_space_group_name_H-M 'F d d d'
_symmetry_Int_Tables_number 70
loop_
_symmetry_equiv_pos_as_xyz
'x,y,z'
'-x,-y,-z'
'-x+1/4,-y+1/4,z'
'x+1/4,y+1/4,-z'
'x,-y+1/4,-z+1/4'
'-x,y+1/4,z+1/4'
'-x+1/4,y,-z+1/4'
'x+1/4,-y,z+1/4'
'x,y+1/2,z+1/2'
'-x,-y+1/2,-z+1/2'
'-x+1/4,-y+3/4,z+1/2'
'x+1/4,y+3/4,-z+1/2'
'x,-y+3/4,-z+3/4'
'-x,y+3/4,z+3/4'
'-x+1/4,y+1/2,-z+3/4'
'x+1/4,-y+1/2,z+3/4'
'x+1/2,y,z+1/2'
'-x+1/2,-y,-z+1/2'
'-x+3/4,-y+1/4,z+1/2'
'x+3/4,y+1/4,-z+1/2'
'x+1/2,-y+1/4,-z+3/4'
'-x+1/2,y+1/4,z+3/4'
'-x+3/4,y,-z+3/4'
'x+3/4,-y,z+3/4'
'x+1/2,y+1/2,z'
'-x+1/2,-y+1/2,-z'
'-x+3/4,-y+3/4,z'
'x+3/4,y+3/4,-z'
'x+1/2,-y+3/4,-z+1/4'
'-x+1/2,y+3/4,z+1/4'
'-x+3/4,y+1/2,-z+1/4'
'x+3/4,-y+1/2,z+1/4'
loop_
_atom_site_label
_atom_site_type_symbol
_atom_site_fract_x
_atom_site_fract_y
_atom_site_fract_z
Nb1 Nb 0.125 0.125 0.125
```